This entry pairs a crystal structure of Ac2PrSmHo with its calculated X-ray diffraction stick pattern. Radiation: CuKα. Structure: the GGA-PBE geometry in Alexandria.

Structure:
Cell: 6.498 8.897 6.820 Å, 90.00 90.00 90.00°
Space group Pmma (No. 51)
Inequivalent atoms, fractional coordinates:
Ac1 0.250 0.205 0.211 [4 per cell]
Pr1 0.250 0.500 0.915 [2 per cell]
Sm1 0.250 0.000 0.682 [2 per cell]
Ho1 0.000 0.500 0.500 [2 per cell]

Principal peaks in the range 15 to 90 degrees two-theta, low angle first:
Position (°2θ)	Rel. int.	(hkl)
27.45	25	2 0 0
27.60	100	1 2 1
28.02	29	0 1 2
32.13	21	2 1 1
33.10	21	0 2 2
35.79	23	1 3 1
38.26	22	2 0 2
48.62	22	3 2 1